The following is a calculated powder XRD pattern of PrDy2Sc3. It was derived from a cell relaxed with GGA-PBE, using Cu Kα (weighted mean of Kα1 and Kα2).
No peak broadening, texture or thermal motion is included.

Main lines, by intensity (10° ≤ 2θ ≤ 90°):
31.19°, intensity 100, hkl 1 1 -2; 16.04°, intensity 92, hkl 0 0 3; 32.42°, intensity 76, hkl 0 0 6; 30.71°, intensity 71, hkl 1 1 1; 38.17°, intensity 61, hkl 1 1 4; 33.21°, intensity 52, hkl 2 0 2; 34.98°, intensity 40, hkl 2 0 -4; 63.45°, intensity 34, hkl 3 1 5; 53.00°, intensity 28, hkl 3 1 -1; 39.34°, intensity 24, hkl 1 1 -5

Atomic structure:
```
PrDy2Sc3
1.0
5.982 0.000 0.000
0.000 3.463 0.000
-1.989 0.000 16.573
Pr Dy Sc
2 4 6
Cartesian
-0.494 0.866 5.502 Pr
4.486 2.597 11.071 Pr
1.497 0.866 0.000 Dy
1.506 0.866 11.064 Dy
2.486 2.597 5.509 Dy
2.495 2.597 16.573 Dy
0.505 2.597 2.715 Sc
0.520 2.597 8.304 Sc
0.512 2.597 13.842 Sc
3.481 0.866 2.731 Sc
3.472 0.866 8.269 Sc
3.487 0.866 13.859 Sc
```